Starting from a GGA-PBE-relaxed structure, the X-ray powder pattern of U8CoSe17 was computed for Cu Kα, 1.54184 Å.

Main lines, by angle (10 to 90 degrees two-theta):
2θ/deg  d_spacing  I (rel.)
14.0  6.316  51
23.4  3.800  49
24.3  3.658  100
24.9  3.581  81
33.3  2.691  66
34.0  2.640  61
36.0  2.493  57
36.9  2.435  80
38.9  2.314  73
41.5  2.175  67

abc: 13.809 8.700 10.787
angles: 90.00 101.81 90.00
Space group C2/m (No. 12)
Symmetry-distinct sites (fractional):
U 0.062 0.241 0.203
U 0.180 0.500 0.514
U 0.201 0.000 0.955
Co 0.000 0.000 0.500
Se 0.000 0.000 0.000
Se 0.021 0.500 0.670
Se 0.053 0.000 0.722
Se 0.127 0.309 0.963
Se 0.133 0.186 0.475
Se 0.202 0.500 0.256
Se 0.216 0.000 0.223

Starting from a GGA-PBE-relaxed structure, the X-ray powder pattern of Co2Si3 was computed for Cu Kα, 1.54184 Å.

Main lines, by angle (10 to 90 degrees two-theta):
2θ/deg  d_spacing  I (rel.)
26.9  3.311  59
33.5  2.677  26
39.1  2.303  22
40.0  2.256  26
43.5  2.082  100
48.1  1.893  35
49.5  1.841  54
56.0  1.643  39
71.5  1.320  16
80.2  1.197  13

abc: 5.353 5.353 8.427
angles: 90.00 90.00 90.00
Space group P-4c2 (No. 116)
Symmetry-distinct sites (fractional):
Co 0.000 0.000 0.000
Co 0.000 0.500 0.370
Co 0.500 0.500 0.250
Si 0.171 0.171 0.250
Si 0.205 0.348 0.591

Starting from a GGA-PBE-relaxed structure, the X-ray powder pattern of SmYCo2Si2 was computed for Cu Kα, 1.54184 Å.

Main lines, by angle (10 to 90 degrees two-theta):
2θ/deg  d_spacing  I (rel.)
25.9  3.438  98
31.8  2.812  30
34.5  2.601  69
34.6  2.592  83
41.6  2.172  100
45.6  1.989  65
53.2  1.721  32
58.5  1.578  36
58.8  1.570  30
77.4  1.232  26

abc: 3.977 3.977 6.837
angles: 90.00 90.00 90.00
Space group P4mm (No. 99)
Symmetry-distinct sites (fractional):
Sm 0.000 0.000 0.000
Y 0.500 0.500 0.632
Co 0.000 0.500 0.323
Si 0.000 0.000 0.503
Si 0.500 0.500 0.146

Starting from a GGA-PBE-relaxed structure, the X-ray powder pattern of Co2Si3Sn was computed for Cu Kα, 1.54184 Å.

Main lines, by angle (10 to 90 degrees two-theta):
2θ/deg  d_spacing  I (rel.)
15.8  5.615  17
22.6  3.940  26
27.7  3.225  91
36.0  2.496  25
39.4  2.286  16
45.9  1.978  100
46.1  1.970  51
54.6  1.681  27
67.2  1.393  16
85.2  1.139  33

abc: 3.940 3.940 5.615
angles: 90.00 90.00 90.00
Space group P-4m2 (No. 115)
Symmetry-distinct sites (fractional):
Co 0.000 0.500 0.224
Si 0.000 0.000 0.000
Si 0.000 0.000 0.500
Si 0.500 0.500 0.000
Sn 0.500 0.500 0.500

Starting from a GGA-PBE-relaxed structure, the X-ray powder pattern of CoSiW was computed for Cu Kα, 1.54184 Å.

Main lines, by angle (10 to 90 degrees two-theta):
2θ/deg  d_spacing  I (rel.)
19.5  4.548  20
27.9  3.201  46
29.5  3.023  25
39.0  2.307  100
41.1  2.198  80
42.0  2.150  43
47.0  1.935  18
50.5  1.807  26
67.7  1.383  25
77.5  1.232  16

abc: 6.047 3.613 6.900
angles: 90.00 90.00 90.00
Space group Pnma (No. 62)
Symmetry-distinct sites (fractional):
Co 0.149 0.250 0.063
Si 0.221 0.750 0.877
W 0.024 0.250 0.669

Starting from a GGA-PBE-relaxed structure, the X-ray powder pattern of Zr2Co2Si was computed for Cu Kα, 1.54184 Å.

Main lines, by angle (10 to 90 degrees two-theta):
2θ/deg  d_spacing  I (rel.)
12.3  7.197  40
27.4  3.257  72
32.6  2.743  57
40.1  2.246  66
41.4  2.182  73
45.9  1.976  100
50.7  1.799  23
54.9  1.672  44
71.0  1.327  28
78.0  1.225  24

abc: 3.344 3.344 14.393
angles: 90.00 90.00 90.00
Space group I4/mmm (No. 139)
Symmetry-distinct sites (fractional):
Zr 0.000 0.000 0.113
Co 0.000 0.500 0.250
Si 0.000 0.000 0.500

- Number 2 is which compound?
  Co2Si3